Structure and theoretical powder XRD pattern of CaNdTlSn (DFT lattice parameters and positions (PBE); Cu Kα, 1.54184 Å).

Main lines, sorted by position (10° ≤ 2θ ≤ 90°):
Position (°2θ), I (rel.)
17.5, 13
31.9, 100
34.7, 20
35.4, 19
40.7, 13
50.4, 14
60.4, 16
61.3, 16
66.7, 12
68.6, 11

Crystal structure
```
CaNdTlSn
1.0
4.4344 0.0000 0.0000
0.0000 5.0778 0.0000
0.0000 0.0000 5.1745
Ca Nd Tl Sn
1 1 1 1
direct
0.0000 0.0000 0.0000
0.0000 0.5000 0.5000
0.5000 0.5000 0.0000
0.5000 0.0000 0.5000
```

---

Structure and theoretical powder XRD pattern of SrCa14Nd (DFT lattice parameters and positions (PBE); Cu Kα, 1.54184 Å).

Main lines, sorted by position (10° ≤ 2θ ≤ 90°):
Position (°2θ), I (rel.)
14.8, 13
27.3, 65
27.9, 39
29.9, 100
33.9, 37
44.4, 16
46.6, 26
50.6, 21
55.2, 30
56.4, 15

Crystal structure
```
SrCa14Nd
1.0
12.8030 0.0000 0.0000
0.0000 3.8944 6.7587
0.0000 -3.8944 6.7587
Sr Ca Nd
1 14 1
direct
0.0000 0.0000 0.0000
0.0000 0.0011 0.4988
0.0000 0.4988 0.0011
0.2460 0.6641 0.6641
0.2498 0.1695 0.6616
0.2498 0.6616 0.1695
0.2523 0.1664 0.1664
0.5000 0.3314 0.3314
0.5000 0.3325 0.8315
0.5000 0.8315 0.3325
0.5000 0.8311 0.8311
0.7477 0.1664 0.1664
0.7502 0.1695 0.6616
0.7502 0.6616 0.1695
0.7540 0.6641 0.6641
0.0000 0.4999 0.4999
```

---

Structure and theoretical powder XRD pattern of Sr2Ca6Nd (DFT lattice parameters and positions (PBE); Cu Kα, 1.54184 Å).

Main lines, sorted by position (10° ≤ 2θ ≤ 90°):
Position (°2θ), I (rel.)
26.3, 39
27.0, 28
27.1, 38
28.9, 54
30.4, 100
38.1, 23
46.3, 30
50.9, 28
54.5, 34
56.4, 16

Crystal structure
```
Sr2Ca6Nd
1.0
3.9191 0.0000 0.0000
-1.9596 3.3941 0.0000
0.0000 0.0000 29.6079
Sr Ca Nd
2 6 1
direct
0.0000 0.0000 0.1749
0.0000 0.0000 0.8251
0.0000 0.0000 0.3981
0.0000 0.0000 0.6019
0.6667 0.3333 0.0615
0.6667 0.3333 0.2894
0.6667 0.3333 0.7106
0.6667 0.3333 0.9385
0.6667 0.3333 0.5000
```